Starting from a DFT-relaxed cell (GGA-PBE, Alexandria), the X-ray diffraction stick pattern of Sr2Zn15Ga2 was simulated for Cu Kα, 1.54184 Å.
Intensities are scaled so that the largest is 100.

Most intense lines, 2θ = 10–90°, sorted by position:
| 2θ (°) | I (rel.) | h k l |
| --- | --- | --- |
| 33.49 | 34 | 3 0 0 |
| 35.00 | 20 | 0 2 4 |
| 38.87 | 60 | 2 2 0 |
| 39.31 | 100 | 0 3 3 |
| 40.62 | 51 | 0 0 6 |
| 44.08 | 63 | 2 2 3 |
| 45.27 | 21 | 1 1 6 |
| 63.78 | 18 | 3 3 3 |
| 70.38 | 22 | 6 0 0 |
| 73.03 | 21 | 0 3 9 |

```
data_Sr2Zn15Ga2
_space_group_name_H-M_alt 'R -3 m'
_space_group_IT_number 166
_space_group_name_Hall '-R 3 2"'
_cell_length_a 9.2685
_cell_length_b 9.2685
_cell_length_c 13.3283
_cell_angle_alpha 90.00
_cell_angle_beta 90.00
_cell_angle_gamma 120.00
loop_
_atom_site_label
_atom_site_type_symbol
_atom_site_fract_x
_atom_site_fract_y
_atom_site_fract_z
_atom_site_occupancy
Sr1 Sr 0.0000 0.0000 0.1636 1
Zn1 Zn 0.0000 0.2993 0.5000 1
Zn2 Zn 0.0000 0.5000 0.0000 1
Zn3 Zn 0.0101 0.5051 0.6564 1
Ga1 Ga 0.0000 0.0000 0.4024 1
```